(1)
Diffraction record for Ba3Os2N4. The X-ray diffraction stick pattern is computed, not measured: it uses DFT lattice parameters and positions (GGA-PBE) and Cu Kα (weighted mean of Kα1 and Kα2).
Neutral-atom scattering factors, no anomalous dispersion.

Top 10 peaks for 2θ = 15–90°, low angle first:
| 2θ (°) | I_rel |
| --- | --- |
| 27.0 | 65 |
| 29.3 | 100 |
| 31.8 | 14 |
| 33.1 | 27 |
| 36.6 | 18 |
| 37.2 | 30 |
| 37.7 | 29 |
| 37.8 | 30 |
| 42.6 | 17 |
| 46.4 | 13 |

Structure:
```
18
Lattice="6.1974 -4.8367 0.0000 6.1974 4.8367 0.0000 -0.6614 0.0000 5.6342" Properties=species:S:1:pos:R:3 pbc="T T T"
Ba 5.7014 3.9352 4.2256
Ba 4.3227 1.2785 2.6085
Ba 7.7414 1.2785 0.2086
Ba 3.9920 -1.2785 5.4256
Ba 7.4107 -1.2785 3.0256
Ba 6.0321 -3.9352 1.4085
Os 1.9931 1.2709 5.2565
Os 2.3238 -1.2709 2.4394
Os 9.4096 1.2709 3.1948
Os 9.7403 -1.2709 0.3777
N 1.8533 0.3775 3.4787
N 3.9459 1.9419 5.3936
N 2.1840 -0.3775 0.6616
N 7.4568 1.9419 3.0577
N 4.2766 -1.9419 2.5765
N 9.5494 0.3775 4.9726
N 7.7875 -1.9419 0.2406
N 9.8801 -0.3775 2.1555
```

(2)
Diffraction record for Ba3Os2N4. The X-ray diffraction stick pattern is computed, not measured: it uses DFT lattice parameters and positions (GGA-PBE) and Cu Kα (weighted mean of Kα1 and Kα2).
Neutral-atom scattering factors, no anomalous dispersion.

Top 10 peaks for 2θ = 15–90°, low angle first:
| 2θ (°) | I_rel |
| --- | --- |
| 16.4 | 43 |
| 26.3 | 37 |
| 27.5 | 31 |
| 28.7 | 23 |
| 30.7 | 100 |
| 31.8 | 18 |
| 33.8 | 25 |
| 37.1 | 30 |
| 43.5 | 18 |
| 45.7 | 19 |

Structure:
```
36
Lattice="6.4836 0.0000 0.0000 0.0000 10.8347 0.0000 0.0000 0.0000 9.7944" Properties=species:S:1:pos:R:3 pbc="T T T"
Ba 0.8817 1.7202 0.7489
Ba 0.8817 3.6971 4.1483
Ba 1.6209 0.0000 4.0050
Ba 1.6209 5.4173 0.8922
Ba 2.3601 7.1375 4.1483
Ba 2.3601 9.1145 0.7489
Ba 4.1235 1.7202 9.0455
Ba 4.1235 3.6971 5.6461
Ba 4.8627 0.0000 5.7893
Ba 4.8627 5.4173 8.9022
Ba 5.6019 7.1375 5.6461
Ba 5.6019 9.1145 9.0455
Os 1.2992 2.7087 7.3458
Os 1.6209 0.0000 7.2694
Os 1.6209 5.4173 7.4222
Os 1.9426 8.1260 7.3458
Os 4.5410 2.7087 2.4486
Os 4.8627 0.0000 2.5250
Os 4.8627 5.4173 2.3722
Os 5.1844 8.1260 2.4486
N 0.0506 6.5906 2.8523
N 0.0506 9.6614 2.0449
N 0.6664 6.9563 8.2500
N 0.6664 9.2957 6.4416
N 2.5754 1.5389 6.4416
N 2.5754 3.8784 8.2500
N 3.1913 1.1733 2.0449
N 3.1913 4.2440 2.8523
N 3.2924 6.5906 6.9421
N 3.2924 9.6614 7.7495
N 3.9082 6.9563 1.5444
N 3.9082 9.2957 3.3528
N 5.8173 1.5389 3.3528
N 5.8173 3.8784 1.5444
N 6.4331 1.1733 7.7495
N 6.4331 4.2440 6.9421
```

(3)
Diffraction record for Ba3OsN3. The X-ray diffraction stick pattern is computed, not measured: it uses DFT lattice parameters and positions (GGA-PBE) and Cu Kα (weighted mean of Kα1 and Kα2).
Neutral-atom scattering factors, no anomalous dispersion.

Top 10 peaks for 2θ = 15–90°, low angle first:
| 2θ (°) | I_rel |
| --- | --- |
| 24.9 | 22 |
| 26.7 | 40 |
| 29.5 | 100 |
| 31.4 | 38 |
| 33.1 | 24 |
| 36.8 | 17 |
| 37.7 | 15 |
| 46.3 | 18 |
| 54.7 | 18 |
| 58.5 | 18 |

Structure:
```
14
Lattice="8.2578 0.0000 0.0000 -4.1289 7.1515 0.0000 0.0000 0.0000 5.7041" Properties=species:S:1:pos:R:3 pbc="T T T"
Ba -2.2380 5.2856 1.4260
Ba 0.6705 2.5706 1.4260
Ba 2.5614 0.7047 4.2781
Ba 1.5675 6.4468 1.4260
Ba 3.4585 4.5809 4.2781
Ba 6.3669 1.8659 4.2781
Os 0.0000 4.7677 4.2781
Os 4.1289 2.3838 1.4260
N -1.8447 4.8972 4.2781
N 0.8102 3.1053 4.2781
N 3.0944 0.8510 1.4260
N 1.0345 6.3005 4.2781
N 3.3187 4.0461 1.4260
N 5.9736 2.2543 1.4260
```

Repeat the second record exactly.
Diffraction record for Ba3Os2N4. The X-ray diffraction stick pattern is computed, not measured: it uses DFT lattice parameters and positions (GGA-PBE) and Cu Kα (weighted mean of Kα1 and Kα2).
Neutral-atom scattering factors, no anomalous dispersion.

Top 10 peaks for 2θ = 15–90°, low angle first:
| 2θ (°) | I_rel |
| --- | --- |
| 16.4 | 43 |
| 26.3 | 37 |
| 27.5 | 31 |
| 28.7 | 23 |
| 30.7 | 100 |
| 31.8 | 18 |
| 33.8 | 25 |
| 37.1 | 30 |
| 43.5 | 18 |
| 45.7 | 19 |

Structure:
```
36
Lattice="6.4836 0.0000 0.0000 0.0000 10.8347 0.0000 0.0000 0.0000 9.7944" Properties=species:S:1:pos:R:3 pbc="T T T"
Ba 0.8817 1.7202 0.7489
Ba 0.8817 3.6971 4.1483
Ba 1.6209 0.0000 4.0050
Ba 1.6209 5.4173 0.8922
Ba 2.3601 7.1375 4.1483
Ba 2.3601 9.1145 0.7489
Ba 4.1235 1.7202 9.0455
Ba 4.1235 3.6971 5.6461
Ba 4.8627 0.0000 5.7893
Ba 4.8627 5.4173 8.9022
Ba 5.6019 7.1375 5.6461
Ba 5.6019 9.1145 9.0455
Os 1.2992 2.7087 7.3458
Os 1.6209 0.0000 7.2694
Os 1.6209 5.4173 7.4222
Os 1.9426 8.1260 7.3458
Os 4.5410 2.7087 2.4486
Os 4.8627 0.0000 2.5250
Os 4.8627 5.4173 2.3722
Os 5.1844 8.1260 2.4486
N 0.0506 6.5906 2.8523
N 0.0506 9.6614 2.0449
N 0.6664 6.9563 8.2500
N 0.6664 9.2957 6.4416
N 2.5754 1.5389 6.4416
N 2.5754 3.8784 8.2500
N 3.1913 1.1733 2.0449
N 3.1913 4.2440 2.8523
N 3.2924 6.5906 6.9421
N 3.2924 9.6614 7.7495
N 3.9082 6.9563 1.5444
N 3.9082 9.2957 3.3528
N 5.8173 1.5389 3.3528
N 5.8173 3.8784 1.5444
N 6.4331 1.1733 7.7495
N 6.4331 4.2440 6.9421
```